Calculated powder XRD pattern of Mo4P3 for Cu Ka, from a cell relaxed with PBE.
Peak positions follow from Bragg's law for the DFT cell and can differ from measured ones.

Cell lengths 3.090, 3.090, 20.816 Å; angles 90.00, 90.00, 90.00 degrees
Space group I4/mmm (No. 139)
Inequivalent atoms, fractional coordinates:
Mo1 0.000 0.000 0.069 [4 per cell]
Mo2 0.000 0.000 0.339 [4 per cell]
P1 0.000 0.000 0.212 [4 per cell]
P2 0.000 0.000 0.500 [2 per cell]

Most intense lines, 2θ = 10–90°, low angle first:
d [Å]	two_theta	I_rel
5.204	17.04	90
2.823	31.70	401
2.602	34.47	129
2.481	36.20	203
2.185	41.32	703
2.143	42.17	1000
1.673	54.86	130
1.545	59.86	226
1.266	75.03	130
1.253	75.92	342

***

Calculated powder XRD pattern of Pm3RhI3 for Cu Ka, from a cell relaxed with PBE.
Peak positions follow from Bragg's law for the DFT cell and can differ from measured ones.

Cell lengths 9.345, 4.200, 12.508 Å; angles 90.00, 92.35, 90.00 degrees
Space group P2_1/m (No. 11)
Inequivalent atoms, fractional coordinates:
Pm1 0.099 0.250 0.388 [2 per cell]
Pm2 0.114 0.250 0.837 [2 per cell]
Pm3 0.307 0.750 0.619 [2 per cell]
Rh1 0.107 0.250 0.618 [2 per cell]
I1 0.140 0.250 0.114 [2 per cell]
I2 0.373 0.750 0.874 [2 per cell]
I3 0.395 0.750 0.367 [2 per cell]

Most intense lines, 2θ = 10–90°, low angle first:
d [Å]	two_theta	I_rel
3.123	28.58	1000
2.334	38.57	96
2.240	40.27	225
2.179	41.44	198
2.100	43.07	128
1.743	52.50	121
1.562	59.17	79
1.412	66.16	62
1.382	67.82	58
1.341	70.16	64

***

Calculated powder XRD pattern of Pr6Sm3Ho for Cu Ka, from a cell relaxed with PBE.
Peak positions follow from Bragg's law for the DFT cell and can differ from measured ones.

Cell lengths 11.499, 6.989, 9.201 Å; angles 90.00, 106.47, 90.00 degrees
Space group C2/m (No. 12)
Inequivalent atoms, fractional coordinates:
Pr1 0.125 0.000 0.418 [4 per cell]
Pr2 0.189 0.264 0.800 [8 per cell]
Sm1 0.000 0.500 0.500 [2 per cell]
Sm2 0.076 0.500 0.168 [4 per cell]
Ho1 0.000 0.000 0.000 [2 per cell]

Most intense lines, 2θ = 10–90°, low angle first:
d [Å]	two_theta	I_rel
3.302	27.01	325
3.049	29.29	314
3.003	29.75	264
2.951	30.28	679
2.938	30.43	1000
2.873	31.12	404
2.831	31.61	332
2.808	31.87	440
2.739	32.69	401
1.668	55.05	282

***

What did the third record say?
Calculated powder XRD pattern of Pr6Sm3Ho for Cu Ka, from a cell relaxed with PBE.
Peak positions follow from Bragg's law for the DFT cell and can differ from measured ones.

Cell lengths 11.499, 6.989, 9.201 Å; angles 90.00, 106.47, 90.00 degrees
Space group C2/m (No. 12)
Inequivalent atoms, fractional coordinates:
Pr1 0.125 0.000 0.418 [4 per cell]
Pr2 0.189 0.264 0.800 [8 per cell]
Sm1 0.000 0.500 0.500 [2 per cell]
Sm2 0.076 0.500 0.168 [4 per cell]
Ho1 0.000 0.000 0.000 [2 per cell]

Most intense lines, 2θ = 10–90°, low angle first:
d [Å]	two_theta	I_rel
3.302	27.01	325
3.049	29.29	314
3.003	29.75	264
2.951	30.28	679
2.938	30.43	1000
2.873	31.12	404
2.831	31.61	332
2.808	31.87	440
2.739	32.69	401
1.668	55.05	282

***

Repeat the third record exactly.
Calculated powder XRD pattern of Pr6Sm3Ho for Cu Ka, from a cell relaxed with PBE.
Peak positions follow from Bragg's law for the DFT cell and can differ from measured ones.

Cell lengths 11.499, 6.989, 9.201 Å; angles 90.00, 106.47, 90.00 degrees
Space group C2/m (No. 12)
Inequivalent atoms, fractional coordinates:
Pr1 0.125 0.000 0.418 [4 per cell]
Pr2 0.189 0.264 0.800 [8 per cell]
Sm1 0.000 0.500 0.500 [2 per cell]
Sm2 0.076 0.500 0.168 [4 per cell]
Ho1 0.000 0.000 0.000 [2 per cell]

Most intense lines, 2θ = 10–90°, low angle first:
d [Å]	two_theta	I_rel
3.302	27.01	325
3.049	29.29	314
3.003	29.75	264
2.951	30.28	679
2.938	30.43	1000
2.873	31.12	404
2.831	31.61	332
2.808	31.87	440
2.739	32.69	401
1.668	55.05	282